This entry pairs a crystal structure of V2CrRh7 with its simulated powder diffraction line list. Radiation: λ = 1.5418 Å (Cu Kα). Structure: a DFT-relaxed cell (GGA-PBE, Alexandria).
No peak broadening, texture or thermal motion is included.

Main lines, sorted by position (10° ≤ 2θ ≤ 90°):
- 21.45 deg, I 32, (1 3 0)
- 33.35 deg, I 90, (2 4 0)
- 35.24 deg, I 33, (0 2 1)
- 35.41 deg, I 37, (1 1 1)
- 40.12 deg, I 54, (2 0 1)
- 43.71 deg, I 100, (2 6 0)
- 45.45 deg, I 57, (4 0 0)
- 47.16 deg, I 77, (1 5 1)
- 48.26 deg, I 60, (3 1 1)
- 76.57 deg, I 39, (5 5 1)

Atomic structure:
Cell: 7.9826 14.5345 2.7196 Å, 90.00 90.00 90.00°
Space group Cmmm (No. 65)
Inequivalent atoms, fractional coordinates:
V1 0.0000 0.1675 0.0000 (multiplicity 4)
Cr1 0.0000 0.5000 0.5000 (multiplicity 2)
Rh1 0.0000 0.0000 0.0000 (multiplicity 2)
Rh2 0.0000 0.3066 0.5000 (multiplicity 4)
Rh3 0.2231 0.4015 0.0000 (multiplicity 8)